No. 1
# NpZn3Au9
Theoretical powder XRD pattern, Cu Kα (λ = 1.5418 Å). Input: a PBE-relaxed structure.
Lines closer than 0.1° are merged.

Principal peaks in the range 10 to 90 degrees two-theta, by angle:
two_theta  d (Å)  I_rel
32.4  2.766  35
33.3  2.688  47
33.6  2.669  46
37.4  2.401  47
37.9  2.374  100
38.1  2.361  73
38.3  2.351  27
39.2  2.297  60
42.0  2.152  26
43.1  2.097  31
62.4  1.489  19
67.8  1.383  26

Structural model:
abc: 7.226 7.226 7.039
angles: 97.02 97.02 136.24
Fractional positions:
Np 0.000 0.000 0.000
Zn 0.000 0.500 0.000
Zn 0.500 0.000 0.000
Zn 0.500 0.500 0.500
Au 0.000 0.000 0.500
Au 0.034 0.681 0.669
Au 0.310 0.526 0.788
Au 0.319 0.966 0.331
Au 0.474 0.690 0.212
Au 0.526 0.310 0.788
Au 0.681 0.034 0.669
Au 0.690 0.474 0.212
Au 0.966 0.319 0.331

***

No. 2
# NpZn4Au8
Theoretical powder XRD pattern, Cu Kα (λ = 1.5418 Å). Input: a PBE-relaxed structure.
Lines closer than 0.1° are merged.

Principal peaks in the range 10 to 90 degrees two-theta, by angle:
two_theta  d (Å)  I_rel
27.0  3.299  14
33.2  2.697  54
38.6  2.334  100
43.3  2.088  44
51.8  1.765  8
59.3  1.557  6
62.9  1.477  17
66.4  1.407  10
69.8  1.347  31
82.6  1.168  7
82.7  1.167  6
89.0  1.100  12

Structural model:
abc: 7.128 7.128 7.128
angles: 98.24 98.24 135.50
Fractional positions:
Np 0.000 0.000 0.000
Zn 0.000 0.000 0.500
Zn 0.000 0.500 0.000
Zn 0.500 0.000 0.000
Zn 0.500 0.500 0.500
Au 0.000 0.335 0.335
Au 0.000 0.665 0.665
Au 0.283 0.500 0.783
Au 0.335 0.000 0.335
Au 0.500 0.283 0.783
Au 0.500 0.717 0.217
Au 0.665 0.000 0.665
Au 0.717 0.500 0.217

***

No. 3
# NpZn5Au7
Theoretical powder XRD pattern, Cu Kα (λ = 1.5418 Å). Input: a PBE-relaxed structure.
Lines closer than 0.1° are merged.

Principal peaks in the range 10 to 90 degrees two-theta, by angle:
two_theta  d (Å)  I_rel
27.0  3.297  23
33.1  2.709  80
33.7  2.656  100
38.6  2.335  98
38.9  2.316  80
39.2  2.301  67
43.0  2.102  22
43.8  2.068  63
63.6  1.463  23
69.4  1.355  39
70.5  1.335  35
71.0  1.328  29

Structural model:
abc: 7.111 7.111 7.111
angles: 136.16 96.71 99.31
Fractional positions:
Np 0.000 0.000 0.000
Zn 0.488 0.491 0.501
Zn 0.488 0.987 0.998
Zn 0.757 0.257 0.500
Zn 0.990 0.491 0.002
Zn 0.990 0.987 0.499
Au 0.172 0.482 0.690
Au 0.222 0.722 0.500
Au 0.336 0.998 0.338
Au 0.343 0.343 0.000
Au 0.659 0.998 0.662
Au 0.668 0.668 0.000
Au 0.792 0.482 0.310

***

No. 4
# PrP2AuO8
Theoretical powder XRD pattern, Cu Kα (λ = 1.5418 Å). Input: a PBE-relaxed structure.
Lines closer than 0.1° are merged.

Principal peaks in the range 10 to 90 degrees two-theta, by angle:
two_theta  d (Å)  I_rel
22.8  3.903  53
24.2  3.675  13
26.8  3.327  100
37.3  2.410  41
39.2  2.300  33
44.2  2.050  13
45.0  2.015  39
46.6  1.951  32
61.1  1.516  24
63.7  1.461  18
67.3  1.391  11
68.5  1.369  13

Structural model:
abc: 7.858 7.858 7.858
angles: 35.71 35.71 35.71
Fractional positions:
Pr 0.000 0.000 0.000
P 0.253 0.253 0.253
P 0.747 0.747 0.747
Au 0.500 0.500 0.500
O 0.068 0.451 0.780
O 0.220 0.549 0.932
O 0.324 0.324 0.324
O 0.451 0.780 0.068
O 0.549 0.932 0.220
O 0.676 0.676 0.676
O 0.780 0.068 0.451
O 0.932 0.220 0.549

***

No. 5
# P2RuAuO8
Theoretical powder XRD pattern, Cu Kα (λ = 1.5418 Å). Input: a PBE-relaxed structure.
Lines closer than 0.1° are merged.

Principal peaks in the range 10 to 90 degrees two-theta, by angle:
two_theta  d (Å)  I_rel
20.0  4.436  100
21.5  4.141  31
22.0  4.032  39
22.5  3.955  27
28.4  3.146  33
28.8  3.098  50
31.7  2.824  52
34.1  2.626  22
36.8  2.444  31
41.3  2.188  24
45.0  2.016  16
58.4  1.580  18

Structural model:
abc: 4.957 4.957 8.032
angles: 98.46 98.46 63.98
Fractional positions:
P 0.179 0.179 0.199
P 0.821 0.821 0.801
Ru 0.500 0.500 0.000
Au 0.500 0.500 0.500
O 0.173 0.695 0.824
O 0.268 0.268 0.381
O 0.284 0.284 0.059
O 0.305 0.827 0.176
O 0.695 0.173 0.824
O 0.716 0.716 0.941
O 0.732 0.732 0.619
O 0.827 0.305 0.176

***

No. 6
# PAuS2O
Theoretical powder XRD pattern, Cu Kα (λ = 1.5418 Å). Input: a PBE-relaxed structure.
Lines closer than 0.1° are merged.

Principal peaks in the range 10 to 90 degrees two-theta, by angle:
two_theta  d (Å)  I_rel
19.2  4.624  66
23.7  3.762  19
27.3  3.269  43
30.6  2.918  69
36.4  2.468  100
39.0  2.312  52
43.8  2.068  18
46.1  1.970  15
50.4  1.812  35
56.3  1.635  17
63.8  1.459  23
68.9  1.363  31

Structural model:
abc: 4.624 4.624 3.762
angles: 90.00 90.00 90.00
Fractional positions:
P 0.000 0.000 0.000
Au 0.500 0.500 0.000
S 0.000 0.500 0.500
S 0.500 0.000 0.500
O 0.000 0.000 0.500

***

No. 7
# PaAu2O6
Theoretical powder XRD pattern, Cu Kα (λ = 1.5418 Å). Input: a PBE-relaxed structure.
Lines closer than 0.1° are merged.

Principal peaks in the range 10 to 90 degrees two-theta, by angle:
two_theta  d (Å)  I_rel
22.4  3.973  87
23.3  3.821  37
25.8  3.450  100
29.1  3.066  31
30.0  2.976  38
30.5  2.928  52
31.8  2.817  51
32.2  2.779  55
32.4  2.767  28
33.1  2.704  39
47.3  1.922  25
52.1  1.755  31

Structural model:
abc: 3.818 4.452 8.121
angles: 87.35 89.88 86.78
Fractional positions:
Pa 0.000 0.000 0.000
Au 0.380 0.464 0.678
Au 0.620 0.536 0.322
O 0.041 0.670 0.831
O 0.294 0.744 0.480
O 0.489 0.175 0.873
O 0.511 0.825 0.127
O 0.706 0.256 0.520
O 0.959 0.330 0.169

***

No. 8
# PaPbAu2O8
Theoretical powder XRD pattern, Cu Kα (λ = 1.5418 Å). Input: a PBE-relaxed structure.
Lines closer than 0.1° are merged.

Principal peaks in the range 10 to 90 degrees two-theta, by angle:
two_theta  d (Å)  I_rel
28.3  3.158  100
32.4  2.764  32
33.4  2.681  21
46.5  1.954  15
47.2  1.924  25
55.3  1.662  39
56.6  1.625  16
58.4  1.579  15
76.2  1.250  14
77.2  1.236  7
79.5  1.206  6
86.8  1.122  11

Structural model:
abc: 6.635 6.635 6.635
angles: 130.77 130.77 72.18
Fractional positions:
Pa 0.000 0.000 0.000
Pb 0.750 0.250 0.500
Au 0.250 0.750 0.500
Au 0.500 0.500 0.000
O 0.070 0.037 0.687
O 0.151 0.298 0.514
O 0.350 0.382 0.313
O 0.363 0.849 0.147
O 0.618 0.930 0.968
O 0.702 0.216 0.853
O 0.784 0.637 0.486
O 0.963 0.650 0.032

***

No. 9
# RbPaAuO4
Theoretical powder XRD pattern, Cu Kα (λ = 1.5418 Å). Input: a PBE-relaxed structure.
Lines closer than 0.1° are merged.

Principal peaks in the range 10 to 90 degrees two-theta, by angle:
two_theta  d (Å)  I_rel
14.9  5.957  40
15.1  5.859  100
26.6  3.354  31
26.7  3.336  54
29.8  2.995  66
30.0  2.978  80
30.2  2.957  60
30.5  2.930  48
31.2  2.870  36
36.9  2.436  40
49.1  1.857  58
55.0  1.668  29

Structural model:
abc: 7.529 7.529 7.529
angles: 126.19 124.87 80.66
Fractional positions:
Rb 0.415 0.165 0.250
Rb 0.585 0.835 0.750
Pa 0.000 0.500 0.500
Pa 0.500 0.500 0.000
Au 0.000 0.000 0.500
Au 0.000 0.500 0.000
O 0.128 0.694 0.435
O 0.241 0.306 0.935
O 0.273 0.334 0.561
O 0.273 0.711 0.939
O 0.727 0.289 0.061
O 0.727 0.666 0.439
O 0.759 0.694 0.065
O 0.872 0.306 0.565

***

No. 10
# PaAuS2O8
Theoretical powder XRD pattern, Cu Kα (λ = 1.5418 Å). Input: a PBE-relaxed structure.
Lines closer than 0.1° are merged.

Principal peaks in the range 10 to 90 degrees two-theta, by angle:
two_theta  d (Å)  I_rel
20.1  4.416  40
28.6  3.123  100
35.2  2.550  19
40.9  2.208  12
46.0  1.975  34
50.6  1.803  37
59.2  1.561  15
63.2  1.472  15
67.0  1.397  15
70.8  1.332  9
78.0  1.225  4
81.6  1.180  22

Structural model:
abc: 6.245 6.245 6.245
angles: 60.00 60.00 60.00
Fractional positions:
Pa 0.000 0.000 0.000
Au 0.500 0.500 0.500
S 0.250 0.250 0.250
S 0.750 0.750 0.750
O 0.153 0.153 0.153
O 0.153 0.153 0.540
O 0.153 0.540 0.153
O 0.460 0.847 0.847
O 0.540 0.153 0.153
O 0.847 0.460 0.847
O 0.847 0.847 0.460
O 0.847 0.847 0.847

***

No. 11
# YPaAu2O8
Theoretical powder XRD pattern, Cu Kα (λ = 1.5418 Å). Input: a PBE-relaxed structure.
Lines closer than 0.1° are merged.

Principal peaks in the range 10 to 90 degrees two-theta, by angle:
two_theta  d (Å)  I_rel
17.6  5.044  16
25.0  3.568  99
30.7  2.911  100
35.6  2.523  31
47.7  1.906  74
51.2  1.783  23
57.8  1.595  36
60.9  1.521  21
72.6  1.303  17
75.4  1.261  13
80.9  1.189  18
83.5  1.157  15

Structural model:
abc: 6.177 6.177 6.177
angles: 109.43 109.43 109.55
Fractional positions:
Y 0.000 0.000 0.000
Pa 0.250 0.750 0.500
Au 0.500 0.500 0.000
Au 0.750 0.250 0.500
O 0.275 0.091 0.815
O 0.275 0.460 0.185
O 0.353 0.026 0.327
O 0.540 0.725 0.815
O 0.699 0.026 0.673
O 0.909 0.725 0.185
O 0.974 0.301 0.327
O 0.974 0.647 0.673

***

No. 12
# ZrPaAu2O8
Theoretical powder XRD pattern, Cu Kα (λ = 1.5418 Å). Input: a PBE-relaxed structure.
Lines closer than 0.1° are merged.

Principal peaks in the range 10 to 90 degrees two-theta, by angle:
two_theta  d (Å)  I_rel
25.6  3.479  100
31.0  2.887  98
36.5  2.460  29
48.6  1.872  73
52.6  1.739  15
58.1  1.587  21
59.4  1.556  16
62.3  1.490  21
64.6  1.444  12
74.5  1.274  16
82.2  1.172  14
85.9  1.131  14

Structural model:
abc: 6.076 6.076 6.076
angles: 110.15 110.15 108.13
Fractional positions:
Zr 0.000 0.000 0.000
Pa 0.250 0.750 0.500
Au 0.500 0.500 0.000
Au 0.750 0.250 0.500
O 0.261 0.085 0.824
O 0.261 0.437 0.176
O 0.338 0.022 0.316
O 0.563 0.739 0.824
O 0.706 0.022 0.684
O 0.915 0.739 0.176
O 0.978 0.294 0.316
O 0.978 0.662 0.684

***

No. 13
# PbAuO2
Theoretical powder XRD pattern, Cu Kα (λ = 1.5418 Å). Input: a PBE-relaxed structure.
Lines closer than 0.1° are merged.

Principal peaks in the range 10 to 90 degrees two-theta, by angle:
two_theta  d (Å)  I_rel
25.6  3.476  23
28.6  3.122  65
28.8  3.103  52
29.9  2.988  100
30.7  2.909  83
31.6  2.829  70
32.7  2.738  21
33.0  2.717  48
51.5  1.775  19
53.0  1.726  19
54.7  1.677  28
62.1  1.494  22

Structural model:
abc: 3.762 5.661 6.968
angles: 88.21 82.52 89.34
Fractional positions:
Pb 0.186 0.003 0.237
Pb 0.814 0.997 0.763
Au 0.500 0.500 0.000
Au 0.500 0.500 0.500
O 0.290 0.186 0.933
O 0.390 0.677 0.752
O 0.610 0.323 0.248
O 0.710 0.814 0.067